Record 1
# NaAsH4O5
Theoretical powder diffraction line list, CuKα. Input: a DFT-relaxed cell (PBE, the Materials Project).
Lines closer than 0.1° are merged.

Atomic structure:
```
NaAsH4O5
1.0
5.310 0.000 0.000
0.000 8.593 0.000
0.000 0.000 10.530
Na As H O
4 4 16 20
Direct
0.076 0.093 0.093
0.424 0.907 0.593
0.576 0.407 0.907
0.924 0.593 0.407
0.082 0.306 0.658
0.418 0.694 0.158
0.582 0.194 0.342
0.918 0.806 0.842
0.038 0.511 0.797
0.054 0.445 0.049
0.142 0.882 0.353
0.187 0.267 0.395
0.313 0.733 0.895
0.358 0.118 0.853
0.446 0.555 0.549
0.462 0.489 0.297
0.538 0.989 0.203
0.554 0.055 0.951
0.642 0.618 0.647
0.687 0.233 0.605
0.813 0.767 0.105
0.858 0.382 0.147
0.946 0.945 0.451
0.962 0.011 0.703
0.072 0.863 0.438
0.171 0.424 0.787
0.173 0.390 0.519
0.192 0.124 0.691
0.250 0.196 0.327
0.250 0.804 0.827
0.308 0.876 0.191
0.327 0.610 0.019
0.329 0.576 0.287
0.428 0.137 0.938
0.572 0.637 0.562
0.671 0.076 0.213
0.673 0.110 0.481
0.692 0.376 0.309
0.750 0.304 0.673
0.750 0.696 0.173
0.808 0.624 0.809
0.827 0.890 0.981
0.829 0.924 0.713
0.928 0.363 0.062
```

Most intense lines, 15 to 90 degrees two-theta, by angle:
| (hkl) | d_spacing | Rel. int. |
| --- | --- | --- |
| 1 0 1 | 4.741 | 49 |
| 1 1 1 | 4.151 | 35 |
| 0 2 1 | 3.978 | 34 |
| 1 1 2 | 3.428 | 100 |
| 1 2 0 | 3.338 | 23 |
| 0 1 3 | 3.249 | 50 |
| 1 2 1 | 3.184 | 33 |
| 2 1 0 | 2.537 | 26 |
| 0 3 2 | 2.516 | 19 |
| 1 3 3 | 2.047 | 19 |


Record 2
# NaAsH4O5
Theoretical powder diffraction line list, CuKα. Input: a DFT-relaxed cell (PBE, the Materials Project).
Lines closer than 0.1° are merged.

Atomic structure:
```
NaAsH4O5
1.0
5.632 0.000 0.000
0.000 7.223 0.000
-0.259 0.000 5.913
Na As H O
2 2 8 10
Direct
0.000 0.000 0.000
0.000 0.500 0.000
0.314 0.250 0.524
0.686 0.750 0.476
0.263 0.556 0.413
0.263 0.944 0.413
0.330 0.750 0.801
0.445 0.750 0.048
0.555 0.250 0.952
0.670 0.250 0.199
0.737 0.056 0.587
0.737 0.444 0.587
0.198 0.068 0.356
0.198 0.432 0.356
0.230 0.250 0.793
0.290 0.750 0.963
0.382 0.750 0.499
0.618 0.250 0.501
0.710 0.250 0.037
0.770 0.750 0.207
0.802 0.568 0.644
0.802 0.932 0.644
```

Most intense lines, 15 to 90 degrees two-theta, by angle:
| (hkl) | d_spacing | Rel. int. |
| --- | --- | --- |
| 1 1 0 | 4.439 | 77 |
| 1 0 1 | 3.990 | 22 |
| 1 1 -1 | 3.610 | 100 |
| 1 1 1 | 3.492 | 48 |
| 0 2 1 | 3.082 | 39 |
| 1 2 0 | 3.039 | 38 |
| 0 0 2 | 2.956 | 34 |
| 2 0 0 | 2.813 | 19 |
| 2 0 -1 | 2.585 | 19 |
| 0 4 0 | 1.805 | 21 |